[1]
Diffraction record for Re14C. The X-ray diffraction stick pattern is computed, not measured: it uses a cell relaxed with PBE and Cu Kα.

Largest 6 diffraction maxima, low angle first, 10 to 90 degrees two-theta:
- 30.0°, rel. 41
- 43.0°, rel. 100
- 43.6°, rel. 46
- 44.8°, rel. 23
- 57.9°, rel. 29
- 66.7°, rel. 23

Atomic structure:
abc: 6.405 6.405 6.405
angles: 96.48 96.48 96.48
Fractional positions:
Re (0.136, 0.500, 0.864)
Re (0.136, 0.864, 0.500)
Re (0.189, 0.189, 0.189)
Re (0.281, 0.281, 0.590)
Re (0.281, 0.590, 0.281)
Re (0.410, 0.719, 0.719)
Re (0.500, 0.136, 0.864)
Re (0.500, 0.864, 0.136)
Re (0.590, 0.281, 0.281)
Re (0.719, 0.410, 0.719)
Re (0.719, 0.719, 0.410)
Re (0.811, 0.811, 0.811)
Re (0.864, 0.136, 0.500)
Re (0.864, 0.500, 0.136)
C (0.000, 0.000, 0.000)

---

[2]
Diffraction record for Y2TmAl3Si2Pt. The X-ray diffraction stick pattern is computed, not measured: it uses a cell relaxed with PBE and Cu Kα.

Largest 6 diffraction maxima, low angle first, 10 to 90 degrees two-theta:
- 21.1°, rel. 46
- 25.9°, rel. 37
- 29.9°, rel. 52
- 33.6°, rel. 40
- 36.9°, rel. 100
- 45.6°, rel. 45

Atomic structure:
abc: 4.211 6.894 6.894
angles: 119.96 90.00 90.00
Fractional positions:
Y (0.000, 0.209, 0.791)
Y (0.000, 0.791, 0.209)
Tm (0.000, 0.373, 0.373)
Al (0.500, 0.028, 0.028)
Al (0.500, 0.553, 0.789)
Al (0.500, 0.789, 0.553)
Si (0.500, 0.126, 0.456)
Si (0.500, 0.456, 0.126)
Pt (0.000, 0.786, 0.786)